Theoretical XRD peak list
Compound: PrGe
Radiation: CuKα
Structure: a structure optimized by DFT (GGA-PBE)

```
8
Lattice="8.399 0.000 0.000 0.000 4.094 0.000 0.000 0.000 6.044" Properties=species:S:1:pos:R:3 pbc="T T T"
Pr 1.521 1.024 0.707
Pr 2.678 3.071 3.729
Pr 5.721 1.024 2.315
Pr 6.878 3.071 5.337
Ge 0.323 1.024 3.844
Ge 3.876 3.071 0.822
Ge 4.523 1.024 5.222
Ge 8.076 3.071 2.200
```

Principal peaks in the range 2θ = 10–90°, by intensity:
2.932 Å, 30.49°, rel. 100; 2.844 Å, 31.46°, rel. 96; 2.638 Å, 33.99°, rel. 92; 2.336 Å, 38.55°, rel. 90; 3.143 Å, 28.39°, rel. 82; 2.540 Å, 35.33°, rel. 63; 1.661 Å, 55.31°, rel. 61; 2.047 Å, 44.24°, rel. 41; 1.983 Å, 45.74°, rel. 31; 1.594 Å, 57.85°, rel. 30